1.
The following is a theoretical powder XRD pattern of ZrTiCuAu. It was derived from a GGA-PBE-relaxed structure, using CuKα.
Neutral-atom scattering factors, no anomalous dispersion.

Most intense lines, 10° ≤ 2θ ≤ 80°, low angle first:
2θ/deg, Rel. int.
14.2, 26.3
26.7, 26.0
28.6, 11.1
30.3, 10.5
38.1, 57.0
39.5, 100.0
48.3, 11.2
55.0, 19.2
69.8, 35.9
72.6, 15.5

Structural model:
```
data_ZrTiCuAu
_cell_length_a 3.3401
_cell_length_b 3.3401
_cell_length_c 6.2457
_cell_angle_alpha 90.00
_cell_angle_beta 90.00
_cell_angle_gamma 90.00
_space_group_name_H-M_alt 'P 4 m m'
_space_group_IT_number 99
_space_group_name_Hall 'P 4 -2'
loop_
_atom_site_label
_atom_site_fract_x
_atom_site_fract_y
_atom_site_fract_z
Zr1 0.0000 0.0000 0.0000
Ti1 0.5000 0.5000 0.2927
Cu1 0.5000 0.5000 0.7548
Au1 0.0000 0.0000 0.5226
```

---

2.
The following is a theoretical powder XRD pattern of Pm9Sm3Y2. It was derived from a GGA-PBE-relaxed structure, using CuKα.
Neutral-atom scattering factors, no anomalous dispersion.

Most intense lines, 10° ≤ 2θ ≤ 80°, low angle first:
2θ/deg, Rel. int.
25.5, 29.4
27.4, 14.0
29.7, 38.3
30.7, 65.7
32.3, 14.1
32.7, 100.0
34.0, 21.5
35.8, 27.3
53.2, 45.6
59.9, 17.0

Structural model:
```
data_Pm9Sm3Y2
_cell_length_a 9.1023
_cell_length_b 9.1023
_cell_length_c 13.9678
_cell_angle_alpha 90.00
_cell_angle_beta 90.00
_cell_angle_gamma 120.00
_space_group_name_H-M_alt 'P 63/m'
_space_group_IT_number 176
_space_group_name_Hall '-P 6c'
loop_
_atom_site_label
_atom_site_fract_x
_atom_site_fract_y
_atom_site_fract_z
Pm1 0.0825 0.6014 0.2500
Pm2 0.1319 0.4080 0.0427
Sm1 0.0822 0.8314 0.7500
Y1 0.3333 0.6667 0.6414
```